(1)
Mn2BeCo3: calculated powder X-ray diffraction pattern (copper Kα), based on a structure optimized by DFT (GGA-PBE).
Neutral-atom scattering factors, no anomalous dispersion.

Main lines, by intensity (15° ≤ 2θ ≤ 90°):
- 2θ = 46.6°, 1.950 Å, I 100
- 2θ = 46.1°, 1.968 Å, I 52
- 2θ = 67.3°, 1.392 Å, I 15
- 2θ = 85.7°, 1.134 Å, I 15
- 2θ = 85.8°, 1.132 Å, I 15
- 2θ = 36.2°, 2.480 Å, I 9
- 2θ = 32.2°, 2.784 Å, I 7
- 2θ = 86.7°, 1.123 Å, I 7
- 2θ = 16.2°, 5.465 Å, I 7
- 2θ = 86.8°, 1.122 Å, I 7

Atomic structure:
abc: 6.219 6.219 5.465
angles: 90.00 90.00 143.06
Atoms (fractional coordinates):
Mn1 0.000 0.000 0.000
Mn2 0.000 0.000 0.500
Mn3 0.333 0.667 0.000
Mn4 0.667 0.333 0.000
Be1 0.337 0.663 0.500
Be2 0.663 0.337 0.500
Co1 0.170 0.830 0.260
Co2 0.170 0.830 0.740
Co3 0.500 0.500 0.254
Co4 0.500 0.500 0.746
Co5 0.830 0.170 0.260
Co6 0.830 0.170 0.740


(2)
EuThTlCd: calculated powder X-ray diffraction pattern (copper Kα), based on a structure optimized by DFT (GGA-PBE).
Neutral-atom scattering factors, no anomalous dispersion.

Main lines, by intensity (15° ≤ 2θ ≤ 90°):
- 2θ = 32.5°, 2.759 Å, I 100
- 2θ = 57.9°, 1.593 Å, I 39
- 2θ = 46.6°, 1.951 Å, I 18
- 2θ = 77.3°, 1.234 Å, I 17
- 2θ = 68.0°, 1.379 Å, I 12
- 2θ = 19.7°, 4.505 Å, I 5
- 2θ = 86.4°, 1.126 Å, I 4
- 2θ = 38.3°, 2.353 Å, I 3
- 2θ = 51.0°, 1.790 Å, I 2
- 2θ = 61.8°, 1.502 Å, I 1

Atomic structure:
abc: 7.803 7.803 7.803
angles: 90.00 90.00 90.00
Atoms (fractional coordinates):
Eu1 0.000 0.000 0.000
Eu2 0.000 0.500 0.500
Eu3 0.500 0.000 0.500
Eu4 0.500 0.500 0.000
Th1 0.000 0.000 0.500
Th2 0.000 0.500 0.000
Th3 0.500 0.000 0.000
Th4 0.500 0.500 0.500
Tl1 0.250 0.250 0.250
Tl2 0.250 0.750 0.750
Tl3 0.750 0.250 0.750
Tl4 0.750 0.750 0.250
Cd1 0.250 0.250 0.750
Cd2 0.250 0.750 0.250
Cd3 0.750 0.250 0.250
Cd4 0.750 0.750 0.750


(3)
Tb8Dy3Y4: calculated powder X-ray diffraction pattern (copper Kα), based on a structure optimized by DFT (GGA-PBE).
Neutral-atom scattering factors, no anomalous dispersion.

Main lines, by intensity (15° ≤ 2θ ≤ 90°):
- 2θ = 31.5°, 2.843 Å, I 100
- 2θ = 36.2°, 2.484 Å, I 71
- 2θ = 30.3°, 2.946 Å, I 48
- 2θ = 62.1°, 1.494 Å, I 39
- 2θ = 52.8°, 1.734 Å, I 31
- 2θ = 51.3°, 1.780 Å, I 24
- 2θ = 30.2°, 2.961 Å, I 16
- 2θ = 60.8°, 1.523 Å, I 15
- 2θ = 29.9°, 2.991 Å, I 14
- 2θ = 62.8°, 1.480 Å, I 14

Atomic structure:
abc: 12.445 12.445 12.445
angles: 32.36 32.36 32.36
Atoms (fractional coordinates):
Tb1 0.245 0.245 0.245
Tb2 0.248 0.750 0.750
Tb3 0.250 0.250 0.752
Tb4 0.250 0.752 0.250
Tb5 0.750 0.248 0.750
Tb6 0.750 0.750 0.248
Tb7 0.752 0.250 0.250
Tb8 0.755 0.755 0.755
Dy1 0.000 0.000 0.500
Dy2 0.000 0.500 0.000
Dy3 0.500 0.000 0.000
Y1 0.000 0.000 0.000
Y2 0.336 0.336 0.336
Y3 0.500 0.500 0.500
Y4 0.664 0.664 0.664


(4)
PbAu4: calculated powder X-ray diffraction pattern (copper Kα), based on a structure optimized by DFT (GGA-PBE).
Neutral-atom scattering factors, no anomalous dispersion.

Main lines, by intensity (15° ≤ 2θ ≤ 90°):
- 2θ = 39.7°, 2.271 Å, I 100
- 2θ = 32.2°, 2.782 Å, I 73
- 2θ = 34.8°, 2.576 Å, I 52
- 2θ = 59.1°, 1.563 Å, I 31
- 2θ = 81.1°, 1.186 Å, I 20
- 2θ = 53.8°, 1.704 Å, I 19
- 2θ = 68.9°, 1.363 Å, I 18
- 2θ = 72.0°, 1.311 Å, I 15
- 2θ = 37.3°, 2.409 Å, I 15
- 2θ = 64.1°, 1.453 Å, I 14

Atomic structure:
abc: 8.346 8.346 8.346
angles: 109.47 109.47 109.47
Atoms (fractional coordinates):
Pb1 0.000 0.000 0.425
Pb2 0.000 0.425 0.000
Pb3 0.425 0.000 0.000
Pb4 0.575 0.575 0.575
Au1 0.000 0.000 0.781
Au2 0.000 0.351 0.351
Au3 0.000 0.649 0.649
Au4 0.000 0.781 0.000
Au5 0.219 0.219 0.219
Au6 0.250 0.500 0.750
Au7 0.250 0.750 0.500
Au8 0.351 0.000 0.351
Au9 0.351 0.351 0.000
Au10 0.500 0.250 0.750
Au11 0.500 0.750 0.250
Au12 0.649 0.000 0.649
Au13 0.649 0.649 0.000
Au14 0.750 0.250 0.500
Au15 0.750 0.500 0.250
Au16 0.781 0.000 0.000